Starting from a DFT-relaxed cell (GGA-PBE, the Materials Project), the powder X-ray diffraction pattern of MnN2Cl6 was simulated for λ = 1.5418 Å (Cu Kα).
Neutral-atom scattering factors, no anomalous dispersion.

Main lines, sorted by position (2θ from 15° to 90°):
| d/Å | 2theta | I/Imax |
| --- | --- | --- |
| 5.694 | 15.6 | 100 |
| 4.931 | 18.0 | 74 |
| 2.973 | 30.1 | 16 |
| 2.847 | 31.4 | 70 |
| 2.465 | 36.4 | 86 |
| 2.205 | 40.9 | 26 |
| 1.898 | 47.9 | 28 |
| 1.743 | 52.5 | 47 |
| 1.667 | 55.1 | 16 |
| 1.487 | 62.5 | 15 |
| 1.381 | 67.9 | 15 |
| 1.103 | 88.7 | 15 |

Cell and atoms:
Cell: 6.9733 6.9733 6.9733 Å, 60.00 60.00 60.00°
Fractional coordinates of all 9 atoms:
Mn 0.0000 0.0000 0.0000
N 0.2500 0.2500 0.2500
N 0.7500 0.7500 0.7500
Cl 0.2272 0.2272 0.7728
Cl 0.2272 0.7728 0.2272
Cl 0.2272 0.7728 0.7728
Cl 0.7728 0.2272 0.2272
Cl 0.7728 0.2272 0.7728
Cl 0.7728 0.7728 0.2272



Starting from a DFT-relaxed cell (GGA-PBE, the Materials Project), the powder X-ray diffraction pattern of TbH3O3 was simulated for λ = 1.5418 Å (Cu Kα).
Neutral-atom scattering factors, no anomalous dispersion.

Main lines, sorted by position (2θ from 15° to 90°):
| d/Å | 2theta | I/Imax |
| --- | --- | --- |
| 5.656 | 15.7 | 77 |
| 5.562 | 15.9 | 100 |
| 5.490 | 16.1 | 82 |
| 3.262 | 27.3 | 67 |
| 3.218 | 27.7 | 63 |
| 3.166 | 28.2 | 60 |
| 2.986 | 29.9 | 85 |
| 2.972 | 30.1 | 76 |
| 2.961 | 30.2 | 79 |
| 2.181 | 41.4 | 63 |
| 2.163 | 41.8 | 57 |
| 1.829 | 49.9 | 56 |

Cell and atoms:
Cell: 6.3326 3.5157 6.4402 Å, 90.00 118.57 90.00°
Fractional coordinates of all 14 atoms:
Tb 0.1588 0.2500 0.3259
Tb 0.8412 0.7500 0.6741
H 0.2309 0.2500 0.8632
H 0.3578 0.7500 0.6976
H 0.3707 0.7500 0.1413
H 0.6293 0.2500 0.8587
H 0.6422 0.2500 0.3024
H 0.7691 0.7500 0.1368
O 0.1088 0.2500 0.9149
O 0.1846 0.7500 0.5934
O 0.4119 0.7500 0.3073
O 0.5881 0.2500 0.6927
O 0.8154 0.2500 0.4066
O 0.8912 0.7500 0.0851



Starting from a DFT-relaxed cell (GGA-PBE, the Materials Project), the powder X-ray diffraction pattern of SbO2 was simulated for λ = 1.5418 Å (Cu Kα).
Neutral-atom scattering factors, no anomalous dispersion.

Main lines, sorted by position (2θ from 15° to 90°):
| d/Å | 2theta | I/Imax |
| --- | --- | --- |
| 5.537 | 16.0 | 86 |
| 4.827 | 18.4 | 85 |
| 3.156 | 28.3 | 47 |
| 3.040 | 29.4 | 100 |
| 2.681 | 33.4 | 23 |
| 2.426 | 37.1 | 42 |
| 2.399 | 37.5 | 33 |
| 2.370 | 38.0 | 17 |
| 2.222 | 40.6 | 23 |
| 2.027 | 44.7 | 25 |
| 1.617 | 56.9 | 29 |
| 1.451 | 64.2 | 18 |

Cell and atoms:
Cell: 5.6111 5.6111 11.0750 Å, 90.00 90.00 145.78°
Fractional coordinates of all 12 atoms:
Sb 0.1334 0.8666 0.5766
Sb 0.1334 0.8666 0.9234
Sb 0.8666 0.1334 0.0766
Sb 0.8666 0.1334 0.4234
O 0.0868 0.9132 0.7500
O 0.2459 0.7541 0.0917
O 0.2459 0.7541 0.4083
O 0.5000 0.5000 0.0000
O 0.5000 0.5000 0.5000
O 0.7541 0.2459 0.5917
O 0.7541 0.2459 0.9083
O 0.9132 0.0868 0.2500



Starting from a DFT-relaxed cell (GGA-PBE, the Materials Project), the powder X-ray diffraction pattern of La3AuI3 was simulated for λ = 1.5418 Å (Cu Kα).
Neutral-atom scattering factors, no anomalous dispersion.

Main lines, sorted by position (2θ from 15° to 90°):
| d/Å | 2theta | I/Imax |
| --- | --- | --- |
| 4.053 | 21.9 | 7 |
| 3.700 | 24.1 | 6 |
| 3.204 | 27.8 | 100 |
| 2.513 | 35.7 | 8 |
| 2.266 | 39.8 | 73 |
| 1.850 | 49.3 | 25 |
| 1.744 | 52.5 | 6 |
| 1.628 | 56.5 | 6 |
| 1.602 | 57.5 | 11 |
| 1.433 | 65.1 | 29 |
| 1.308 | 72.2 | 20 |
| 1.133 | 85.8 | 6 |

Cell and atoms:
Cell: 11.0992 11.0992 11.0992 Å, 109.47 109.47 109.47°
Fractional coordinates of all 28 atoms:
La 0.0140 0.0281 0.2640
La 0.0140 0.4860 0.7500
La 0.0281 0.2640 0.0140
La 0.2360 0.2640 0.7500
La 0.2360 0.4719 0.4860
La 0.2640 0.0140 0.0281
La 0.2640 0.7500 0.2360
La 0.4719 0.4860 0.2360
La 0.4860 0.2360 0.4719
La 0.4860 0.7500 0.0140
La 0.7500 0.0140 0.4860
La 0.7500 0.2360 0.2640
Au 0.0000 0.2500 0.5000
Au 0.2500 0.2500 0.2500
Au 0.2500 0.5000 0.0000
Au 0.5000 0.0000 0.2500
I 0.2500 0.7602 0.7398
I 0.2500 0.9898 0.5102
I 0.5102 0.2500 0.9898
I 0.5102 0.7602 0.5205
I 0.5205 0.5102 0.7602
I 0.7398 0.2500 0.7602
I 0.7398 0.9898 0.9795
I 0.7602 0.5205 0.5102
I 0.7602 0.7398 0.2500
I 0.9795 0.7398 0.9898
I 0.9898 0.5102 0.2500
I 0.9898 0.9795 0.7398



Starting from a DFT-relaxed cell (GGA-PBE, the Materials Project), the powder X-ray diffraction pattern of AlPt2 was simulated for λ = 1.5418 Å (Cu Kα).
Neutral-atom scattering factors, no anomalous dispersion.

Main lines, sorted by position (2θ from 15° to 90°):
| d/Å | 2theta | I/Imax |
| --- | --- | --- |
| 3.893 | 22.8 | 19 |
| 2.776 | 32.2 | 20 |
| 2.260 | 39.9 | 100 |
| 2.241 | 40.2 | 17 |
| 2.115 | 42.8 | 10 |
| 1.980 | 45.8 | 21 |
| 1.946 | 46.7 | 25 |
| 1.445 | 64.5 | 6 |
| 1.388 | 67.5 | 17 |
| 1.210 | 79.1 | 9 |
| 1.190 | 80.8 | 14 |
| 1.175 | 82.0 | 7 |

Cell and atoms:
Cell: 16.4982 3.9596 5.5105 Å, 90.00 90.00 90.00°
Fractional coordinates of all 24 atoms:
Al 0.0000 0.0000 0.0000
Al 0.0916 0.5000 0.3127
Al 0.2500 0.5000 0.7963
Al 0.4084 0.5000 0.3127
Al 0.5000 0.0000 0.0000
Al 0.5916 0.5000 0.6873
Al 0.7500 0.5000 0.2037
Al 0.9084 0.5000 0.6873
Pt 0.0000 0.0000 0.5000
Pt 0.0690 0.5000 0.7994
Pt 0.1564 0.0000 0.0542
Pt 0.1676 0.0000 0.5585
Pt 0.2500 0.5000 0.2754
Pt 0.3324 0.0000 0.5585
Pt 0.3436 0.0000 0.0542
Pt 0.4310 0.5000 0.7994
Pt 0.5000 0.0000 0.5000
Pt 0.5690 0.5000 0.2006
Pt 0.6564 0.0000 0.9458
Pt 0.6676 0.0000 0.4415
Pt 0.7500 0.5000 0.7246
Pt 0.8324 0.0000 0.4415
Pt 0.8436 0.0000 0.9458
Pt 0.9310 0.5000 0.2006



Starting from a DFT-relaxed cell (GGA-PBE, the Materials Project), the powder X-ray diffraction pattern of Li2AgPb was simulated for λ = 1.5418 Å (Cu Kα).
Neutral-atom scattering factors, no anomalous dispersion.

Main lines, sorted by position (2θ from 15° to 90°):
| d/Å | 2theta | I/Imax |
| --- | --- | --- |
| 3.909 | 22.7 | 100 |
| 3.385 | 26.3 | 8 |
| 2.394 | 37.6 | 88 |
| 2.041 | 44.4 | 53 |
| 1.954 | 46.5 | 3 |
| 1.693 | 54.2 | 15 |
| 1.553 | 59.5 | 22 |
| 1.514 | 61.2 | 4 |
| 1.382 | 67.8 | 31 |
| 1.303 | 72.6 | 17 |
| 1.197 | 80.2 | 10 |
| 1.144 | 84.7 | 17 |

Cell and atoms:
Cell: 6.7703 6.7703 6.7703 Å, 90.00 90.00 90.00°
Fractional coordinates of all 16 atoms:
Li 0.0000 0.0000 0.0000
Li 0.0000 0.5000 0.5000
Li 0.2500 0.2500 0.2500
Li 0.2500 0.7500 0.7500
Li 0.5000 0.0000 0.5000
Li 0.5000 0.5000 0.0000
Li 0.7500 0.2500 0.7500
Li 0.7500 0.7500 0.2500
Ag 0.0000 0.0000 0.5000
Ag 0.0000 0.5000 0.0000
Ag 0.5000 0.0000 0.0000
Ag 0.5000 0.5000 0.5000
Pb 0.2500 0.2500 0.7500
Pb 0.2500 0.7500 0.2500
Pb 0.7500 0.2500 0.2500
Pb 0.7500 0.7500 0.7500



Starting from a DFT-relaxed cell (GGA-PBE, the Materials Project), the powder X-ray diffraction pattern of LaMgO3 was simulated for λ = 1.5418 Å (Cu Kα).
Neutral-atom scattering factors, no anomalous dispersion.

Main lines, sorted by position (2θ from 15° to 90°):
| d/Å | 2theta | I/Imax |
| --- | --- | --- |
| 3.946 | 22.5 | 49 |
| 2.790 | 32.1 | 100 |
| 2.278 | 39.6 | 45 |
| 1.973 | 46.0 | 37 |
| 1.765 | 51.8 | 23 |
| 1.611 | 57.2 | 40 |
| 1.395 | 67.1 | 22 |
| 1.315 | 71.8 | 11 |
| 1.248 | 76.3 | 17 |
| 1.190 | 80.8 | 14 |
| 1.139 | 85.2 | 7 |
| 1.094 | 89.6 | 6 |

Cell and atoms:
Cell: 3.9458 3.9458 3.9458 Å, 90.00 90.00 90.00°
Fractional coordinates of all 5 atoms:
La 0.0000 0.0000 0.0000
Mg 0.5000 0.5000 0.5000
O 0.0000 0.5000 0.5000
O 0.5000 0.0000 0.5000
O 0.5000 0.5000 0.0000